Entry 1:
This entry pairs a crystal structure of Sm2Y2CI3F2 with its computed XRD peak list. Radiation: a wavelength of 1.5418 Å. Structure: a GGA-PBE-relaxed structure.
Lines closer than 0.1° are merged.

Top 8 peaks for 2θ = 5–70°, by intensity:
| 2θ (°) | I_rel |
| --- | --- |
| 31.56 | 100 |
| 10.19 | 63 |
| 10.44 | 63 |
| 30.91 | 47 |
| 26.07 | 40 |
| 23.69 | 37 |
| 41.98 | 30 |
| 34.78 | 26 |

Crystal structure
a = 8.9121 Å, b = 8.9121 Å, c = 8.4929 Å
α = 94.06°, β = 94.06°, γ = 24.97°
Atoms (fractional coordinates):
Sm 0.0030 0.0030 0.3035
Sm 0.9970 0.9970 0.6965
Y 0.3634 0.3634 0.4451
Y 0.6366 0.6366 0.5549
C 0.5000 0.5000 0.5000
I 0.1859 0.1859 0.2904
I 0.5000 0.5000 0.0000
I 0.8141 0.8141 0.7096
F 0.1361 0.1361 0.7106
F 0.8639 0.8639 0.2894

---

Entry 2:
This entry pairs a crystal structure of NdYZn2Pb2 with its computed XRD peak list. Radiation: a wavelength of 1.5418 Å. Structure: a GGA-PBE-relaxed structure.
Lines closer than 0.1° are merged.

Top 8 peaks for 2θ = 5–70°, by intensity:
| 2θ (°) | I_rel |
| --- | --- |
| 31.26 | 100 |
| 38.83 | 80 |
| 27.62 | 58 |
| 44.99 | 43 |
| 50.67 | 26 |
| 65.62 | 24 |
| 60.48 | 16 |
| 60.91 | 14 |

Crystal structure
a = 4.6381 Å, b = 4.6381 Å, c = 16.3036 Å
α = 90.00°, β = 90.00°, γ = 120.00°
Atoms (fractional coordinates):
Nd 0.0000 0.0000 0.2500
Nd 0.0000 0.0000 0.7500
Y 0.0000 0.0000 0.0000
Y 0.0000 0.0000 0.5000
Zn 0.3333 0.6667 0.1622
Zn 0.3333 0.6667 0.3378
Zn 0.6667 0.3333 0.6622
Zn 0.6667 0.3333 0.8378
Pb 0.3333 0.6667 0.6084
Pb 0.3333 0.6667 0.8916
Pb 0.6667 0.3333 0.1084
Pb 0.6667 0.3333 0.3916

---

Entry 3:
This entry pairs a crystal structure of Ta4GaSbN2 with its computed XRD peak list. Radiation: a wavelength of 1.5418 Å. Structure: a GGA-PBE-relaxed structure.
Lines closer than 0.1° are merged.

Top 8 peaks for 2θ = 5–70°, by intensity:
| 2θ (°) | I_rel |
| --- | --- |
| 38.09 | 100 |
| 31.86 | 24 |
| 56.77 | 22 |
| 41.34 | 16 |
| 53.12 | 14 |
| 13.51 | 10 |
| 32.61 | 5 |
| 66.59 | 3 |

Crystal structure
a = 3.2430 Å, b = 3.2430 Å, c = 13.1049 Å
α = 90.00°, β = 90.00°, γ = 120.00°
Atoms (fractional coordinates):
Ta 0.0000 0.0000 0.1579
Ta 0.0000 0.0000 0.8421
Ta 0.3333 0.6667 0.3290
Ta 0.3333 0.6667 0.6710
Ga 0.3333 0.6667 0.0000
Sb 0.0000 0.0000 0.5000
N 0.6667 0.3333 0.2455
N 0.6667 0.3333 0.7545

---

Entry 4:
This entry pairs a crystal structure of NdGaGePtAu with its computed XRD peak list. Radiation: a wavelength of 1.5418 Å. Structure: a GGA-PBE-relaxed structure.
Lines closer than 0.1° are merged.

Top 8 peaks for 2θ = 5–70°, by intensity:
| 2θ (°) | I_rel |
| --- | --- |
| 33.67 | 100 |
| 41.27 | 72 |
| 32.87 | 56 |
| 45.44 | 35 |
| 30.12 | 33 |
| 53.73 | 28 |
| 59.78 | 24 |
| 48.26 | 24 |

Crystal structure
a = 4.3755 Å, b = 4.3755 Å, c = 10.4482 Å
α = 90.00°, β = 90.00°, γ = 90.00°
Atoms (fractional coordinates):
Nd 0.2500 0.2500 0.2470
Nd 0.7500 0.7500 0.7530
Ga 0.2500 0.7500 0.0000
Ga 0.7500 0.2500 0.0000
Ge 0.2500 0.2500 0.6451
Ge 0.7500 0.7500 0.3549
Pt 0.2500 0.2500 0.8761
Pt 0.7500 0.7500 0.1239
Au 0.2500 0.7500 0.5000
Au 0.7500 0.2500 0.5000

---

Entry 5:
This entry pairs a crystal structure of LaCdGa2Ir with its computed XRD peak list. Radiation: a wavelength of 1.5418 Å. Structure: a GGA-PBE-relaxed structure.
Lines closer than 0.1° are merged.

Top 8 peaks for 2θ = 5–70°, by intensity:
| 2θ (°) | I_rel |
| --- | --- |
| 33.42 | 100 |
| 41.48 | 46 |
| 32.07 | 30 |
| 44.37 | 21 |
| 16.25 | 16 |
| 60.11 | 15 |
| 58.99 | 15 |
| 53.37 | 14 |

Crystal structure
a = 4.3538 Å, b = 4.3538 Å, c = 10.9107 Å
α = 90.00°, β = 90.00°, γ = 90.00°
Atoms (fractional coordinates):
La 0.0000 0.0000 0.0000
La 0.5000 0.5000 0.5000
Cd 0.0000 0.5000 0.2500
Cd 0.5000 0.0000 0.7500
Ga 0.0000 0.0000 0.3824
Ga 0.0000 0.0000 0.6176
Ga 0.5000 0.5000 0.1176
Ga 0.5000 0.5000 0.8824
Ir 0.0000 0.5000 0.7500
Ir 0.5000 0.0000 0.2500

---

Entry 6:
This entry pairs a crystal structure of Ba3Al2Cu2F16 with its computed XRD peak list. Radiation: a wavelength of 1.5418 Å. Structure: a GGA-PBE-relaxed structure.
Lines closer than 0.1° are merged.

Top 8 peaks for 2θ = 5–70°, by intensity:
| 2θ (°) | I_rel |
| --- | --- |
| 26.23 | 100 |
| 31.22 | 77 |
| 20.95 | 59 |
| 28.47 | 58 |
| 42.64 | 50 |
| 27.99 | 48 |
| 24.74 | 46 |
| 45.07 | 45 |

Crystal structure
a = 7.2400 Å, b = 5.2472 Å, c = 15.7139 Å
α = 90.00°, β = 96.34°, γ = 90.00°
Atoms (fractional coordinates):
Ba 0.1685 0.0000 0.1141
Ba 0.2487 0.0616 0.5287
Ba 0.3138 0.0155 0.8186
Ba 0.6862 0.5155 0.1814
Ba 0.7513 0.5616 0.4713
Ba 0.8315 0.5000 0.8859
Al 0.0820 0.5750 0.6592
Al 0.3255 0.5224 0.9754
Al 0.6745 0.0224 0.0246
Al 0.9180 0.0750 0.3408
Cu 0.2115 0.5424 0.3036
Cu 0.4442 0.0667 0.3297
Cu 0.5558 0.5667 0.6703
Cu 0.7885 0.0424 0.6964
F 0.0328 0.3827 0.3716
F 0.0465 0.6236 0.2047
F 0.0522 0.6298 0.7689
F 0.1110 0.5509 0.5440
F 0.1363 0.9153 0.3643
F 0.1388 0.7401 0.9477
F 0.1775 0.2531 0.9560
F 0.2154 0.2925 0.6803
F 0.2922 0.7677 0.6720
F 0.2997 0.5293 0.0866
F 0.3729 0.2553 0.2298
F 0.3911 0.3850 0.3901
F 0.3981 0.5107 0.8703
F 0.4034 0.7610 0.2630
F 0.4695 0.8179 0.9930
F 0.4982 0.4060 0.5648
F 0.5018 0.9060 0.4352
F 0.5305 0.3179 0.0070
F 0.5966 0.2610 0.7370
F 0.6019 0.0107 0.1297
F 0.6089 0.8850 0.6099
F 0.6271 0.7553 0.7702
F 0.7003 0.0293 0.9134
F 0.7078 0.2677 0.3280
F 0.7846 0.7925 0.3197
F 0.8225 0.7531 0.0440
F 0.8612 0.2401 0.0523
F 0.8637 0.4153 0.6357
F 0.8890 0.0509 0.4560
F 0.9478 0.1298 0.2311
F 0.9535 0.1236 0.7953
F 0.9672 0.8827 0.6284

---

Entry 7:
This entry pairs a crystal structure of Gd2HoTl2Zn3Cd with its computed XRD peak list. Radiation: a wavelength of 1.5418 Å. Structure: a GGA-PBE-relaxed structure.
Lines closer than 0.1° are merged.

Top 8 peaks for 2θ = 5–70°, by intensity:
| 2θ (°) | I_rel |
| --- | --- |
| 34.60 | 100 |
| 31.54 | 80 |
| 34.74 | 52 |
| 39.60 | 47 |
| 31.42 | 38 |
| 37.87 | 28 |
| 42.94 | 22 |
| 24.54 | 21 |

Crystal structure
a = 4.5513 Å, b = 7.2564 Å, c = 7.2564 Å
α = 119.63°, β = 90.00°, γ = 90.00°
Atoms (fractional coordinates):
Gd 0.0000 0.2136 0.7864
Gd 0.0000 0.7864 0.2136
Ho 0.0000 0.3583 0.3583
Tl 0.5000 0.1209 0.4515
Tl 0.5000 0.4515 0.1209
Zn 0.5000 0.0146 0.0146
Zn 0.5000 0.5545 0.7854
Zn 0.5000 0.7854 0.5545
Cd 0.0000 0.7815 0.7815

---

Entry 8:
This entry pairs a crystal structure of Er6Co30P19 with its computed XRD peak list. Radiation: a wavelength of 1.5418 Å. Structure: a GGA-PBE-relaxed structure.
Lines closer than 0.1° are merged.

Top 8 peaks for 2θ = 5–70°, by intensity:
| 2θ (°) | I_rel |
| --- | --- |
| 40.08 | 100 |
| 54.79 | 20 |
| 51.30 | 20 |
| 38.05 | 17 |
| 37.63 | 12 |
| 35.93 | 12 |
| 27.87 | 11 |
| 30.81 | 10 |

Crystal structure
a = 14.6056 Å, b = 14.6056 Å, c = 3.5619 Å
α = 90.00°, β = 90.00°, γ = 120.00°
Atoms (fractional coordinates):
Er 0.0379 0.2739 0.0000
Er 0.2360 0.9621 0.0000
Er 0.4308 0.3713 0.5000
Er 0.6287 0.0594 0.5000
Er 0.7261 0.7640 0.0000
Er 0.9406 0.5692 0.5000
Co 0.0595 0.4425 0.5000
Co 0.0676 0.8168 0.5000
Co 0.1072 0.7115 0.0000
Co 0.1084 0.0932 0.0000
Co 0.1832 0.2508 0.5000
Co 0.1990 0.6428 0.5000
Co 0.2036 0.5088 0.0000
Co 0.2593 0.1289 0.5000
Co 0.2885 0.3958 0.0000
Co 0.3052 0.7964 0.0000
Co 0.3572 0.5562 0.5000
Co 0.3830 0.9405 0.5000
Co 0.4069 0.2035 0.0000
Co 0.4438 0.8010 0.5000
Co 0.4847 0.0840 0.0000
Co 0.4912 0.6948 0.0000
Co 0.5584 0.2403 0.5000
Co 0.5575 0.6170 0.5000
Co 0.5993 0.5153 0.0000
Co 0.6042 0.8928 0.0000
Co 0.6819 0.4416 0.5000
Co 0.7492 0.9324 0.5000
Co 0.7597 0.3181 0.5000
Co 0.7965 0.2035 0.0000
Co 0.7965 0.5931 0.0000
Co 0.8696 0.7407 0.5000
Co 0.8711 0.1304 0.5000
Co 0.9068 0.0152 0.0000
Co 0.9160 0.4007 0.0000
Co 0.9848 0.8916 0.0000
P 0.0170 0.1180 0.5000
P 0.0763 0.5459 0.0000
P 0.1009 0.9830 0.5000
P 0.1984 0.4108 0.5000
P 0.2124 0.8016 0.5000
P 0.2719 0.2345 0.0000
P 0.3333 0.6667 0.0000
P 0.3955 0.0995 0.5000
P 0.4541 0.5304 0.0000
P 0.4696 0.9237 0.0000
P 0.5651 0.3490 0.0000
P 0.5892 0.7876 0.5000
P 0.6510 0.2160 0.0000
P 0.7040 0.6045 0.5000
P 0.7655 0.0374 0.0000
P 0.7840 0.4349 0.0000
P 0.8820 0.8991 0.5000
P 0.9005 0.2960 0.5000
P 0.9626 0.7281 0.0000